This entry pairs a crystal structure of Te3Rh4N2 with its calculated XRD peak list. Radiation: λ = 1.5418 Å (Cu Kα). Structure: a structure optimized by DFT (GGA-PBE).

Atomic structure:
```
data_Te3Rh4N2
_chemical_formula_sum 'Te12 Rh16 N8'
_cell_length_a 6.655
_cell_length_b 10.333
_cell_length_c 9.468
_cell_angle_alpha 90.00
_cell_angle_beta 90.00
_cell_angle_gamma 90.00
_symmetry_space_group_name_H-M 'P n m a'
_symmetry_Int_Tables_number 62
_symmetry_space_group_name_Hall '-P 2ac 2n'
loop_
_atom_site_label
_atom_site_type_symbol
_atom_site_fract_x
_atom_site_fract_y
_atom_site_fract_z
Te1 Te 0.058 0.080 0.183
Te2 Te 0.117 0.250 0.838
Rh1 Rh 0.129 0.750 0.605
Rh2 Rh 0.206 0.531 0.425
Rh3 Rh 0.225 0.250 0.577
N1 N 0.044 0.119 0.505
```

Most intense lines, 10° ≤ 2θ ≤ 90°, sorted by position:
2θ (°), I/Imax
27.6, 56
28.9, 61
31.4, 60
32.6, 29
32.9, 38
33.4, 97
34.7, 28
34.9, 100
44.2, 83
48.6, 55